For ZrAlCr3, a cell relaxed with GGA-PBE gives the theoretical powder X-ray diffraction pattern in this record (Cu Kα (λ = 1.5418 Å)).

Cell and atoms:
abc: 5.309 11.573 4.919
angles: 90.00 90.00 90.00
Space group Cmcm (No. 63)
Symmetry-distinct sites (fractional):
Zr: 0.000 0.097 0.250 x4
Al: 0.000 0.500 0.000 x4
Cr: 0.000 0.305 0.750 x4
Cr: 0.216 0.326 0.250 x8

Most intense lines, 2θ = 10–80°, by angle:
d [Å]  I_rel  h k l
2.635  58  1 3 1
2.494  22  0 4 1
2.460  47  0 0 2
2.166  100  2 2 1
2.122  41  1 5 0
1.356  20  2 2 3

For CaDy2S3, a cell relaxed with GGA-PBE gives the theoretical powder X-ray diffraction pattern in this record (Cu Kα (λ = 1.5418 Å)).

Cell and atoms:
abc: 3.916 5.556 11.880
angles: 90.00 90.00 90.00
Space group Immm (No. 71)
Symmetry-distinct sites (fractional):
Ca: 0.000 0.000 0.000 x2
Dy: 0.000 0.000 0.335 x4
S: 0.000 0.500 0.000 x2
S: 0.000 0.500 0.332 x4

Most intense lines, 2θ = 10–80°, by angle:
d [Å]  I_rel  h k l
5.033  19  0 1 1
3.225  31  0 1 3
3.201  30  1 1 0
2.782  100  1 0 3
1.967  47  1 2 3
1.674  15  2 1 3

For Er2ZrRu3, a cell relaxed with GGA-PBE gives the theoretical powder X-ray diffraction pattern in this record (Cu Kα (λ = 1.5418 Å)).

Cell and atoms:
abc: 4.7100 4.7100 11.5955
angles: 90.00 90.00 120.00
Space group P-3m1 (No. 164)
Symmetry-distinct sites (fractional):
Er: 0.0000 0.0000 0.0000 x1
Er: 0.0000 0.0000 0.5000 x1
Er: 0.3333 0.6667 0.1679 x2
Zr: 0.3333 0.6667 0.6658 x2
Ru: 0.0000 0.0000 0.2565 x2
Ru: 0.3333 0.6667 0.4174 x2
Ru: 0.3333 0.6667 0.9095 x2

Most intense lines, 2θ = 10–80°, by angle:
d [Å]  I_rel  h k l
3.336  7  0 1 2
2.363  100  1 0 4
2.355  99  1 1 0
1.668  34  0 2 4
1.366  17  0 1 8
1.361  51  3 0 0